Record 1
For Zr2Si2TeSe, a DFT-relaxed cell (GGA-PBE, OQMD) gives the calculated powder X-ray diffraction pattern in this record (Cu Kα X-rays).
Intensities are scaled so that the largest is 100.

Main lines, most intense first (2θ = 10–90°):
| d_spacing | I_rel |
| --- | --- |
| 2.870 | 100 |
| 2.362 | 79 |
| 2.579 | 69 |
| 2.256 | 60 |
| 1.824 | 44 |
| 1.657 | 34 |
| 4.651 | 33 |
| 2.486 | 33 |
| 1.444 | 32 |
| 1.539 | 30 |

```
Zr2Si2TeSe
1.0
3.648 0.000 0.000
0.000 3.648 0.000
0.000 0.000 9.302
Zr Si Te Se
2 2 1 1
direct
0.000 0.000 0.000
0.500 0.500 0.462
0.000 0.500 0.229
0.500 0.000 0.229
0.500 0.500 0.851
0.000 0.000 0.574
```

=====

Record 2
For Th3SiSe2, a DFT-relaxed cell (GGA-PBE, OQMD) gives the calculated powder X-ray diffraction pattern in this record (Cu Kα X-rays).
Intensities are scaled so that the largest is 100.

Main lines, most intense first (2θ = 10–90°):
| d_spacing | I_rel |
| --- | --- |
| 2.994 | 100 |
| 3.452 | 44 |
| 2.123 | 26 |
| 2.117 | 25 |
| 2.111 | 25 |
| 3.471 | 15 |
| 1.728 | 13 |
| 1.497 | 12 |
| 1.342 | 12 |
| 1.336 | 11 |

```
Th3SiSe2
1.0
3.681 -6.349 0.000
3.681 6.349 0.000
-2.432 0.000 6.888
Th Si Se
6 2 4
direct
0.077 0.420 0.760
0.236 0.236 0.237
0.420 0.077 0.760
0.580 0.923 0.240
0.764 0.764 0.763
0.923 0.580 0.240
0.167 0.833 0.000
0.833 0.167 0.000
0.000 0.000 0.500
0.336 0.664 0.500
0.500 0.500 0.000
0.664 0.336 0.500
```

=====

Record 3
For SmSe, a DFT-relaxed cell (GGA-PBE, OQMD) gives the calculated powder X-ray diffraction pattern in this record (Cu Kα X-rays).
Intensities are scaled so that the largest is 100.

Main lines, most intense first (2θ = 10–90°):
| d_spacing | I_rel |
| --- | --- |
| 2.945 | 100 |
| 2.083 | 74 |
| 1.317 | 34 |
| 1.700 | 26 |
| 1.202 | 25 |
| 3.401 | 18 |
| 1.473 | 12 |
| 1.776 | 9 |
| 1.351 | 4 |
| 1.134 | 3 |

```
SmSe
1.0
0.000 2.945 2.945
2.945 0.000 2.945
2.945 2.945 0.000
Sm Se
1 1
direct
0.000 0.000 0.000
0.500 0.500 0.500
```

=====

Record 4
For SmSe, a DFT-relaxed cell (GGA-PBE, OQMD) gives the calculated powder X-ray diffraction pattern in this record (Cu Kα X-rays).
Intensities are scaled so that the largest is 100.

Main lines, most intense first (2θ = 10–90°):
| d_spacing | I_rel |
| --- | --- |
| 2.944 | 100 |
| 2.082 | 50 |
| 1.317 | 22 |
| 1.711 | 13 |
| 1.689 | 13 |
| 2.102 | 13 |
| 1.472 | 12 |
| 2.062 | 12 |
| 3.422 | 9 |
| 3.378 | 9 |

```
SmSe
1.0
-2.062 2.102 2.944
2.062 -2.102 2.944
2.062 2.102 -2.944
Sm Se
1 1
direct
0.000 0.000 0.000
0.500 0.500 0.000
```

=====

Record 5
For Sm5Se6, a DFT-relaxed cell (GGA-PBE, OQMD) gives the calculated powder X-ray diffraction pattern in this record (Cu Kα X-rays).
Intensities are scaled so that the largest is 100.

Main lines, most intense first (2θ = 10–90°):
| d_spacing | I_rel |
| --- | --- |
| 2.932 | 100 |
| 2.076 | 37 |
| 2.071 | 37 |
| 1.691 | 19 |
| 1.310 | 17 |
| 1.466 | 12 |
| 1.312 | 11 |
| 1.195 | 10 |
| 3.389 | 9 |
| 1.197 | 8 |

```
Sm5Se6
1.0
3.600 -6.216 0.000
3.600 6.216 0.000
-2.391 0.000 6.758
Sm Se
5 6
direct
0.000 0.000 0.000
0.165 0.835 0.500
0.335 0.665 0.000
0.665 0.335 0.000
0.835 0.165 0.500
0.088 0.418 0.252
0.254 0.254 0.744
0.418 0.088 0.252
0.582 0.912 0.748
0.746 0.746 0.256
0.912 0.582 0.748
```

=====

Record 6
For TbSm2Se3, a DFT-relaxed cell (GGA-PBE, OQMD) gives the calculated powder X-ray diffraction pattern in this record (Cu Kα X-rays).
Intensities are scaled so that the largest is 100.

Main lines, most intense first (2θ = 10–90°):
| d_spacing | I_rel |
| --- | --- |
| 2.927 | 100 |
| 2.073 | 37 |
| 2.066 | 37 |
| 1.688 | 20 |
| 1.194 | 19 |
| 1.307 | 17 |
| 1.310 | 17 |
| 3.376 | 14 |
| 1.463 | 12 |
| 1.764 | 7 |

```
TbSm2Se3
1.0
4.133 0.000 0.000
-2.066 3.579 0.000
0.000 0.000 10.169
Tb Sm Se
1 2 3
direct
0.000 0.000 0.000
0.333 0.667 0.668
0.667 0.333 0.332
0.000 0.000 0.500
0.333 0.667 0.161
0.667 0.333 0.839
```

=====

Record 7
For Sm2TmSe3, a DFT-relaxed cell (GGA-PBE, OQMD) gives the calculated powder X-ray diffraction pattern in this record (Cu Kα X-rays).
Intensities are scaled so that the largest is 100.

Main lines, most intense first (2θ = 10–90°):
| d_spacing | I_rel |
| --- | --- |
| 2.909 | 100 |
| 2.066 | 37 |
| 2.047 | 37 |
| 1.674 | 19 |
| 1.296 | 17 |
| 1.306 | 16 |
| 3.349 | 15 |
| 1.186 | 13 |
| 1.454 | 12 |
| 1.695 | 6 |

```
Sm2TmSe3
1.0
4.095 0.000 0.000
-2.047 3.546 0.000
0.000 0.000 10.170
Sm Tm Se
2 1 3
direct
0.333 0.667 0.169
0.667 0.333 0.831
0.000 0.000 0.500
0.000 0.000 0.000
0.333 0.667 0.655
0.667 0.333 0.345
```

=====

Record 8
For Sm4ZnSe3, a DFT-relaxed cell (GGA-PBE, OQMD) gives the calculated powder X-ray diffraction pattern in this record (Cu Kα X-rays).
Intensities are scaled so that the largest is 100.

Main lines, most intense first (2θ = 10–90°):
| d_spacing | I_rel |
| --- | --- |
| 2.960 | 100 |
| 2.093 | 75 |
| 1.324 | 33 |
| 1.709 | 26 |
| 1.209 | 25 |
| 3.418 | 19 |
| 1.480 | 12 |
| 1.785 | 9 |
| 1.358 | 4 |
| 1.139 | 3 |

```
Sm4ZnSe3
1.0
5.921 0.000 0.000
0.000 5.921 0.000
0.000 0.000 5.921
Sm Zn Se
4 1 3
direct
0.000 0.000 0.000
0.000 0.500 0.500
0.500 0.000 0.500
0.500 0.500 0.000
0.500 0.500 0.500
0.000 0.000 0.500
0.000 0.500 0.000
0.500 0.000 0.000
```

=====

Record 9
For Sr2ZnTcSe6, a DFT-relaxed cell (GGA-PBE, OQMD) gives the calculated powder X-ray diffraction pattern in this record (Cu Kα X-rays).
Intensities are scaled so that the largest is 100.

Main lines, most intense first (2θ = 10–90°):
| d_spacing | I_rel |
| --- | --- |
| 2.916 | 100 |
| 3.270 | 80 |
| 2.837 | 69 |
| 1.949 | 53 |
| 2.176 | 46 |
| 2.312 | 44 |
| 2.337 | 40 |
| 1.812 | 38 |
| 1.307 | 30 |
| 2.852 | 30 |

```
Sr2ZnTcSe6
1.0
-3.270 3.270 5.833
3.270 -3.270 5.833
3.270 3.270 -5.833
Sr Zn Tc Se
2 1 1 6
direct
0.250 0.750 0.500
0.750 0.250 0.500
0.000 0.000 0.000
0.500 0.500 0.000
0.146 0.640 0.786
0.271 0.271 0.000
0.360 0.146 0.506
0.640 0.854 0.494
0.729 0.729 0.000
0.854 0.360 0.214
```

=====

Record 10
For Sr2ZrTcSe6, a DFT-relaxed cell (GGA-PBE, OQMD) gives the calculated powder X-ray diffraction pattern in this record (Cu Kα X-rays).
Intensities are scaled so that the largest is 100.

Main lines, most intense first (2θ = 10–90°):
| d_spacing | I_rel |
| --- | --- |
| 2.660 | 100 |
| 2.977 | 60 |
| 2.441 | 41 |
| 2.450 | 41 |
| 2.030 | 38 |
| 3.447 | 37 |
| 3.469 | 37 |
| 2.912 | 32 |
| 1.809 | 28 |
| 5.320 | 26 |

```
Sr2ZrTcSe6
1.0
6.896 0.000 0.000
-0.026 6.938 0.000
-3.358 -3.446 5.320
Sr Zr Tc Se
2 1 1 6
direct
0.234 0.266 0.000
0.766 0.734 0.000
0.500 0.000 0.500
0.000 0.500 0.500
0.159 0.174 0.493
0.228 0.723 0.987
0.342 0.679 0.535
0.658 0.321 0.465
0.772 0.277 0.013
0.841 0.826 0.507
```

=====

Record 11
For SrTh2Se5, a DFT-relaxed cell (GGA-PBE, OQMD) gives the calculated powder X-ray diffraction pattern in this record (Cu Kα X-rays).
Intensities are scaled so that the largest is 100.

Main lines, most intense first (2θ = 10–90°):
| d_spacing | I_rel |
| --- | --- |
| 2.674 | 100 |
| 3.719 | 59 |
| 3.614 | 53 |
| 2.565 | 49 |
| 2.112 | 48 |
| 3.685 | 47 |
| 8.808 | 45 |
| 2.202 | 39 |
| 2.874 | 31 |
| 1.895 | 29 |

```
SrTh2Se5
1.0
8.808 0.000 0.000
0.000 7.956 0.000
-0.002 0.000 12.623
Sr Th Se
4 8 20
direct
0.006 0.036 0.326
0.006 0.464 0.826
0.994 0.536 0.174
0.994 0.964 0.674
0.249 0.575 0.491
0.249 0.925 0.991
0.499 0.519 0.180
0.499 0.981 0.680
0.501 0.019 0.320
0.501 0.481 0.820
0.751 0.075 0.009
0.751 0.425 0.509
0.042 0.173 0.088
0.042 0.327 0.588
0.264 0.697 0.718
0.264 0.803 0.218
0.276 0.171 0.814
0.276 0.329 0.314
0.278 0.542 0.999
0.278 0.958 0.499
0.456 0.162 0.101
0.456 0.338 0.601
0.544 0.662 0.399
0.544 0.838 0.899
0.722 0.042 0.501
0.722 0.458 0.001
0.724 0.671 0.686
0.724 0.829 0.186
0.736 0.197 0.782
0.736 0.303 0.282
0.958 0.673 0.412
0.958 0.827 0.912
```

=====

Record 12
For SrTm2Se3, a DFT-relaxed cell (GGA-PBE, OQMD) gives the calculated powder X-ray diffraction pattern in this record (Cu Kα X-rays).
Intensities are scaled so that the largest is 100.

Main lines, most intense first (2θ = 10–90°):
| d_spacing | I_rel |
| --- | --- |
| 2.928 | 100 |
| 2.066 | 38 |
| 2.075 | 32 |
| 1.688 | 20 |
| 1.307 | 17 |
| 3.376 | 11 |
| 1.312 | 11 |
| 1.195 | 11 |
| 1.464 | 10 |
| 2.463 | 9 |

```
SrTm2Se3
1.0
4.132 0.000 0.000
-2.066 3.579 0.000
0.000 0.000 10.185
Sr Tm Se
1 2 3
direct
0.000 0.000 0.000
0.333 0.667 0.649
0.667 0.333 0.351
0.000 0.000 0.500
0.333 0.667 0.190
0.667 0.333 0.810
```